The following is a simulated XRD peak list of K2Si4O9. It was derived from a GGA-PBE-relaxed structure, using a wavelength of 1.5418 Å.
No peak broadening, texture or thermal motion is included.

Structural model:
```
K2Si4O9
1.0
6.704 0.000 0.000
-3.352 5.806 0.000
0.000 0.000 9.634
K Si O
4 8 18
Direct
0.333 0.667 0.059
0.333 0.667 0.441
0.667 0.333 0.559
0.667 0.333 0.941
0.000 0.000 0.000
0.000 0.000 0.500
0.134 0.366 0.750
0.232 0.866 0.750
0.366 0.232 0.250
0.634 0.768 0.750
0.768 0.134 0.250
0.866 0.634 0.250
0.026 0.233 0.606
0.026 0.233 0.894
0.073 0.580 0.750
0.207 0.974 0.606
0.207 0.974 0.894
0.233 0.207 0.106
0.233 0.207 0.394
0.420 0.493 0.750
0.493 0.073 0.250
0.507 0.927 0.750
0.580 0.507 0.250
0.767 0.793 0.606
0.767 0.793 0.894
0.793 0.026 0.106
0.793 0.026 0.394
0.927 0.420 0.250
0.974 0.767 0.106
0.974 0.767 0.394
```

Main lines, by intensity (10 to 80 degrees two-theta):
2.751 Å, 32.5°, I = 100
2.810 Å, 31.8°, I = 73
2.780 Å, 32.2°, I = 71
2.140 Å, 42.2°, I = 28
1.605 Å, 57.4°, I = 26
3.166 Å, 28.2°, I = 24


The following is a simulated XRD peak list of MgAl2ReC. It was derived from a GGA-PBE-relaxed structure, using a wavelength of 1.5418 Å.
No peak broadening, texture or thermal motion is included.

Structural model:
```
MgAl2ReC
1.0
4.172 0.000 0.000
0.000 4.172 0.000
0.000 0.000 4.079
Mg Al Re C
1 2 1 1
Direct
0.000 0.000 0.000
0.000 0.500 0.500
0.500 0.000 0.500
0.500 0.500 0.000
0.500 0.500 0.500
```

Main lines, by intensity (10 to 80 degrees two-theta):
2.390 Å, 37.6°, I = 100
4.172 Å, 21.3°, I = 95
2.917 Å, 30.7°, I = 58
2.086 Å, 43.4°, I = 39
2.950 Å, 30.3°, I = 38
4.079 Å, 21.8°, I = 31


The following is a simulated XRD peak list of CaYPu2Te4. It was derived from a GGA-PBE-relaxed structure, using a wavelength of 1.5418 Å.
No peak broadening, texture or thermal motion is included.

Structural model:
```
CaYPu2Te4
1.0
7.690 0.000 0.000
0.000 4.425 0.000
-2.545 0.000 7.258
Ca Y Pu Te
1 1 2 4
Direct
0.000 0.000 0.000
0.000 0.500 0.500
0.500 0.000 0.500
0.500 0.500 0.000
0.246 0.000 0.747
0.248 0.500 0.252
0.752 0.500 0.748
0.754 0.000 0.253
```

Main lines, by intensity (10 to 80 degrees two-theta):
3.137 Å, 28.5°, I = 100
2.218 Å, 40.7°, I = 51
1.403 Å, 66.7°, I = 24
7.257 Å, 12.2°, I = 19
3.780 Å, 23.5°, I = 15
1.814 Å, 50.3°, I = 14


The following is a simulated XRD peak list of Na5B7C3. It was derived from a GGA-PBE-relaxed structure, using a wavelength of 1.5418 Å.
No peak broadening, texture or thermal motion is included.

Structural model:
```
Na5B7C3
1.0
7.333 -2.480 0.000
7.333 2.480 0.000
-5.864 0.000 8.596
Na B C
10 14 6
Direct
0.000 0.000 0.000
0.000 0.000 0.500
0.199 0.200 0.499
0.200 0.199 0.999
0.399 0.401 0.000
0.401 0.399 0.500
0.599 0.601 0.500
0.601 0.599 0.000
0.800 0.801 0.001
0.801 0.800 0.501
0.001 0.614 0.750
0.020 0.382 0.749
0.162 0.838 0.750
0.242 0.570 0.251
0.382 0.020 0.249
0.386 0.999 0.750
0.430 0.758 0.249
0.570 0.242 0.751
0.614 0.001 0.250
0.618 0.980 0.751
0.758 0.430 0.749
0.838 0.162 0.250
0.980 0.618 0.251
0.999 0.386 0.250
0.173 0.827 0.250
0.232 0.578 0.751
0.422 0.768 0.749
0.578 0.232 0.251
0.768 0.422 0.249
0.827 0.173 0.750
```

Main lines, by intensity (10 to 80 degrees two-theta):
2.177 Å, 41.5°, I = 100
2.149 Å, 42.1°, I = 95
2.525 Å, 35.6°, I = 22
1.211 Å, 79.1°, I = 22
1.440 Å, 64.7°, I = 17
1.246 Å, 76.4°, I = 13


The following is a simulated XRD peak list of Hg3PdI. It was derived from a GGA-PBE-relaxed structure, using a wavelength of 1.5418 Å.
No peak broadening, texture or thermal motion is included.

Structural model:
```
Hg3PdI
1.0
5.745 -4.593 0.000
5.745 4.593 0.000
-1.879 0.000 5.353
Hg Pd I
6 2 2
Direct
0.000 0.500 0.500
0.119 0.119 0.724
0.244 0.756 0.000
0.500 0.000 0.500
0.756 0.244 0.000
0.881 0.881 0.276
0.129 0.129 0.245
0.871 0.871 0.755
0.371 0.371 0.176
0.629 0.629 0.824
```

Main lines, by intensity (10 to 80 degrees two-theta):
3.270 Å, 27.3°, I = 100
2.335 Å, 38.6°, I = 87
2.313 Å, 38.9°, I = 65
3.301 Å, 27.0°, I = 50
2.297 Å, 39.2°, I = 37
2.329 Å, 38.7°, I = 34


The following is a simulated XRD peak list of KCe4Se8. It was derived from a GGA-PBE-relaxed structure, using a wavelength of 1.5418 Å.
No peak broadening, texture or thermal motion is included.

Structural model:
```
KCe4Se8
1.0
7.415 -4.287 0.000
7.415 4.287 0.000
-7.307 0.000 7.965
K Ce Se
1 4 8
Direct
0.000 0.000 0.000
0.252 0.748 0.500
0.264 0.264 0.526
0.736 0.736 0.474
0.748 0.252 0.500
0.001 0.001 0.323
0.004 0.476 0.312
0.476 0.004 0.312
0.482 0.482 0.304
0.518 0.518 0.696
0.524 0.996 0.688
0.996 0.524 0.688
0.999 0.999 0.677
```

Main lines, by intensity (10 to 80 degrees two-theta):
7.965 Å, 11.1°, I = 100
3.355 Å, 26.6°, I = 39
2.706 Å, 33.1°, I = 38
2.142 Å, 42.2°, I = 37
2.731 Å, 32.8°, I = 24
3.378 Å, 26.4°, I = 19


The following is a simulated XRD peak list of PaPt6. It was derived from a GGA-PBE-relaxed structure, using a wavelength of 1.5418 Å.
No peak broadening, texture or thermal motion is included.

Structural model:
```
PaPt6
1.0
9.593 0.000 0.000
0.000 5.458 0.000
0.000 0.000 9.519
Pa Pt
4 24
Direct
0.216 0.250 0.050
0.284 0.750 0.550
0.716 0.250 0.450
0.784 0.750 0.950
0.011 0.750 0.488
0.033 0.504 0.755
0.033 0.996 0.755
0.071 0.750 0.013
0.212 0.250 0.335
0.220 0.750 0.263
0.280 0.250 0.763
0.288 0.750 0.835
0.429 0.250 0.513
0.467 0.004 0.255
0.467 0.496 0.255
0.489 0.250 0.988
0.511 0.750 0.012
0.533 0.504 0.745
0.533 0.996 0.745
0.571 0.750 0.487
0.712 0.250 0.165
0.720 0.750 0.237
0.780 0.250 0.737
0.788 0.750 0.665
0.929 0.250 0.987
0.967 0.004 0.245
0.967 0.496 0.245
0.989 0.250 0.512
```

Main lines, by intensity (10 to 80 degrees two-theta):
2.123 Å, 42.6°, I = 100
2.370 Å, 38.0°, I = 98
2.380 Å, 37.8°, I = 49
1.365 Å, 68.8°, I = 48
2.381 Å, 37.8°, I = 46
2.398 Å, 37.5°, I = 41


The following is a simulated XRD peak list of KPrHfZrO6. It was derived from a GGA-PBE-relaxed structure, using a wavelength of 1.5418 Å.
No peak broadening, texture or thermal motion is included.

Structural model:
```
KPrHfZrO6
1.0
0.000 4.152 4.152
4.152 0.000 4.152
4.152 4.152 0.000
K Pr Hf Zr O
1 1 1 1 6
Direct
0.000 0.000 0.000
0.500 0.500 0.500
0.750 0.750 0.750
0.250 0.250 0.250
0.502 0.502 0.998
0.502 0.998 0.502
0.502 0.998 0.998
0.998 0.502 0.502
0.998 0.502 0.998
0.998 0.998 0.502
```

Main lines, by intensity (10 to 80 degrees two-theta):
2.936 Å, 30.4°, I = 100
1.695 Å, 54.1°, I = 40
2.076 Å, 43.6°, I = 32
4.794 Å, 18.5°, I = 21
1.468 Å, 63.4°, I = 19
1.313 Å, 71.9°, I = 17


The following is a simulated XRD peak list of Dy4Sn2Pt. It was derived from a GGA-PBE-relaxed structure, using a wavelength of 1.5418 Å.
No peak broadening, texture or thermal motion is included.

Structural model:
```
Dy4Sn2Pt
1.0
5.713 -2.282 0.000
5.713 2.282 0.000
-4.602 0.000 7.370
Dy Sn Pt
4 2 1
Direct
0.075 0.075 0.360
0.328 0.328 0.935
0.672 0.672 0.065
0.925 0.925 0.640
0.354 0.354 0.340
0.646 0.646 0.660
0.000 0.000 0.000
```

Main lines, by intensity (10 to 80 degrees two-theta):
2.637 Å, 34.0°, I = 100
2.914 Å, 30.7°, I = 93
2.383 Å, 37.7°, I = 71
2.282 Å, 39.5°, I = 62
2.485 Å, 36.1°, I = 53
3.121 Å, 28.6°, I = 46


The following is a simulated XRD peak list of AcSn8Os2. It was derived from a GGA-PBE-relaxed structure, using a wavelength of 1.5418 Å.
No peak broadening, texture or thermal motion is included.

Structural model:
```
AcSn8Os2
1.0
6.466 0.000 0.000
0.000 6.466 0.000
0.000 0.000 8.282
Ac Sn Os
1 8 2
Direct
0.000 0.000 0.000
0.254 0.254 0.310
0.254 0.254 0.690
0.254 0.746 0.310
0.254 0.746 0.690
0.746 0.254 0.310
0.746 0.254 0.690
0.746 0.746 0.310
0.746 0.746 0.690
0.000 0.500 0.500
0.500 0.000 0.500
```

Main lines, by intensity (10 to 80 degrees two-theta):
2.548 Å, 35.2°, I = 100
4.003 Å, 22.2°, I = 65
8.282 Å, 10.7°, I = 62
2.286 Å, 39.4°, I = 53
2.099 Å, 43.1°, I = 36
1.365 Å, 68.8°, I = 30


The following is a simulated XRD peak list of Dy2Al3Au2. It was derived from a GGA-PBE-relaxed structure, using a wavelength of 1.5418 Å.
No peak broadening, texture or thermal motion is included.

Structural model:
```
Dy2Al3Au2
1.0
5.276 -2.173 0.000
5.276 2.173 0.000
-2.846 0.000 6.217
Dy Al Au
2 3 2
Direct
0.148 0.148 0.281
0.852 0.852 0.719
0.396 0.396 0.068
0.500 0.500 0.500
0.604 0.604 0.932
0.150 0.150 0.739
0.850 0.850 0.261
```

Main lines, by intensity (10 to 80 degrees two-theta):
2.576 Å, 34.8°, I = 100
3.958 Å, 22.5°, I = 79
2.422 Å, 37.1°, I = 76
3.108 Å, 28.7°, I = 69
2.678 Å, 33.5°, I = 57
2.173 Å, 41.6°, I = 42


The following is a simulated XRD peak list of PPdBrO2. It was derived from a GGA-PBE-relaxed structure, using a wavelength of 1.5418 Å.
No peak broadening, texture or thermal motion is included.

Structural model:
```
PPdBrO2
1.0
3.898 0.000 0.000
0.000 3.898 0.000
0.000 0.000 5.293
P Pd Br O
1 1 1 2
Direct
0.000 0.000 0.000
0.000 0.000 0.500
0.500 0.500 0.000
0.000 0.500 0.500
0.500 0.000 0.500
```

Main lines, by intensity (10 to 80 degrees two-theta):
3.139 Å, 28.4°, I = 100
2.756 Å, 32.5°, I = 49
2.647 Å, 33.9°, I = 40
1.909 Å, 47.6°, I = 34
1.949 Å, 46.6°, I = 31
1.656 Å, 55.5°, I = 30